Starting from a DFT-relaxed cell (PBE, Alexandria), the powder X-ray diffraction pattern of Ti6Nb5In4 was computed for CuKα.
Lines closer than 0.1° are merged.

Structure:
```
data_Ti6Nb5In4
_chemical_formula_sum 'Ti24 Nb20 In16'
_cell_length_a 2.9148
_cell_length_b 26.2690
_cell_length_c 14.7997
_cell_angle_alpha 90.00
_cell_angle_beta 90.00
_cell_angle_gamma 90.00
_space_group_name_H-M_alt 'C m c m'
_space_group_IT_number 63
_space_group_name_Hall '-C 2c 2'
loop_
_atom_site_label
_atom_site_type_symbol
_atom_site_fract_x
_atom_site_fract_y
_atom_site_fract_z
Ti1 Ti 0.0000 0.0686 0.0856
Ti2 Ti 0.0000 0.0950 0.7500
Ti3 Ti 0.0000 0.2658 0.0795
Ti4 Ti 0.0000 0.3947 0.7500
Nb1 Nb 0.0000 0.0158 0.2500
Nb2 Nb 0.0000 0.1395 0.5816
Nb3 Nb 0.0000 0.2028 0.2500
Nb4 Nb 0.0000 0.3116 0.2500
In1 In 0.0000 0.3325 0.5857
In2 In 0.0000 0.4636 0.0917
```

Largest 10 diffraction maxima, most intense first, 2θ = 15–90°:
(1 5 3), 2θ 39.81, 2.264 Å, rel. 100; (0 0 6), 2θ 36.42, 2.467 Å, rel. 89; (0 10 3), 2θ 38.84, 2.319 Å, rel. 73; (1 5 1), 2θ 35.75, 2.512 Å, rel. 42; (0 10 2), 2θ 36.29, 2.476 Å, rel. 36; (2 0 6), 2θ 75.79, 1.255 Å, rel. 27; (1 5 2), 2θ 37.30, 2.411 Å, rel. 27; (0 10 4), 2θ 42.19, 2.142 Å, rel. 26; (0 0 12), 2θ 77.35, 1.234 Å, rel. 26; (0 6 0), 2θ 20.28, 4.378 Å, rel. 25